# 1
Structure and computed PXRD pattern of Li4Ti3Mn3Co2O16 (DFT lattice parameters and positions (PBE+U); Cu Ka).

Peak list (6 most intense, 2θ from 10° to 90°, by angle)
- d 4.864, 18.24 deg, I 99
- d 4.521, 19.64 deg, I 100
- d 4.498, 19.74 deg, I 62
- d 3.525, 25.27 deg, I 37
- d 2.516, 35.68 deg, I 50
- d 2.470, 36.38 deg, I 36

Unit cell a=5.8706 b=5.8793 c=9.7281 alpha=89.88 beta=89.59 gamma=60.28
Fractional positions:
Li  0.0000  0.0000  0.0000
Li  0.9997  0.0074  0.5012
Li  0.3199  0.3303  0.8933
Li  0.6550  0.6679  0.3957
Ti  0.1486  0.6653  0.2173
Ti  0.6518  0.1781  0.2197
Ti  0.8198  0.8333  0.7166
Mn  0.1657  0.1654  0.2163
Mn  0.3280  0.8325  0.7178
Mn  0.8220  0.3389  0.7180
Co  0.3276  0.3360  0.4949
Co  0.6600  0.6640  0.9921
O  0.0275  0.4806  0.3349
O  0.1518  0.6870  0.6087
O  0.1530  0.1621  0.6123
O  0.3134  0.8435  0.1090
O  0.3273  0.3317  0.1072
O  0.4734  0.0345  0.3335
O  0.4779  0.4818  0.3320
O  0.5056  0.5181  0.8310
O  0.5063  0.9655  0.8330
O  0.6553  0.6641  0.6097
O  0.6775  0.1606  0.6086
O  0.8381  0.8373  0.1088
O  0.8419  0.3150  0.1084
O  0.9535  0.5175  0.8328
O  0.9936  0.0061  0.8149
O  0.9975  0.0041  0.3161



# 2
Structure and computed PXRD pattern of Li4Ti2Mn3Co3O16 (DFT lattice parameters and positions (PBE+U); Cu Ka).

Peak list (6 most intense, 2θ from 10° to 90°, by angle)
- d 4.745, 18.70 deg, I 100
- d 4.554, 19.49 deg, I 38
- d 4.476, 19.83 deg, I 46
- d 4.449, 19.96 deg, I 39
- d 2.479, 36.24 deg, I 45
- d 2.453, 36.64 deg, I 35

Unit cell a=5.8654 b=5.8882 c=9.4944 alpha=91.18 beta=90.69 gamma=119.51
Fractional positions:
Li  0.0000  0.0000  0.0000
Li  0.0051  0.9935  0.5015
Li  0.3352  0.6628  0.9027
Li  0.6687  0.3214  0.4054
Ti  0.3354  0.6500  0.5054
Ti  0.6678  0.3336  0.0039
Mn  0.1720  0.8246  0.2196
Mn  0.1813  0.3415  0.2233
Mn  0.3520  0.1682  0.7229
Co  0.6636  0.8377  0.2264
Co  0.8384  0.6556  0.7218
Co  0.8412  0.1709  0.7246
O  0.0247  0.0064  0.8122
O  0.0245  0.0125  0.3123
O  0.0455  0.4945  0.3537
O  0.1841  0.8333  0.6017
O  0.1855  0.3297  0.6055
O  0.3224  0.6503  0.1154
O  0.3446  0.1880  0.0993
O  0.4820  0.5078  0.3456
O  0.4852  0.9522  0.3468
O  0.5174  0.4703  0.8458
O  0.5179  0.0387  0.8487
O  0.6558  0.3162  0.6136
O  0.6743  0.8245  0.6015
O  0.8369  0.6698  0.1005
O  0.8441  0.1767  0.1038
O  0.9636  0.4783  0.8469



# 3
Structure and computed PXRD pattern of Li10Ti2Mn3Co3O16 (DFT lattice parameters and positions (PBE+U); Cu Ka).

Peak list (6 most intense, 2θ from 10° to 90°, by angle)
- d 4.977, 17.82 deg, I 100
- d 4.566, 19.44 deg, I 80
- d 2.574, 34.86 deg, I 43
- d 2.563, 35.00 deg, I 37
- d 2.489, 36.08 deg, I 50
- d 2.032, 44.58 deg, I 68

Unit cell a=5.9224 b=6.0375 c=9.9572 alpha=90.88 beta=90.79 gamma=118.68
Fractional positions:
Li  0.0000  0.0000  0.0000
Li  0.0021  0.0438  0.4882
Li  0.1939  0.8352  0.5611
Li  0.2108  0.4366  0.5569
Li  0.3435  0.7025  0.7833
Li  0.4001  0.2378  0.0617
Li  0.6069  0.8410  0.5579
Li  0.6856  0.3788  0.2754
Li  0.8191  0.6211  0.0582
Li  0.8292  0.2171  0.0719
Ti  0.3613  0.7227  0.0507
Ti  0.6841  0.3926  0.5335
Mn  0.1864  0.3780  0.2953
Mn  0.3457  0.2040  0.7929
Mn  0.8428  0.1995  0.7948
Co  0.1790  0.8715  0.2967
Co  0.6680  0.8678  0.2974
Co  0.8367  0.6885  0.7964
O  0.0025  0.0312  0.1877
O  0.0108  0.0420  0.6871
O  0.0351  0.5412  0.1648
O  0.1615  0.3268  0.9179
O  0.1619  0.8189  0.9317
O  0.3404  0.7117  0.4148
O  0.3478  0.2195  0.4335
O  0.4996  0.0199  0.1617
O  0.5088  0.5440  0.1632
O  0.5199  0.0592  0.6771
O  0.5220  0.5355  0.6647
O  0.6495  0.8293  0.9324
O  0.6678  0.3390  0.9098
O  0.8154  0.2073  0.4307
O  0.8336  0.6955  0.4312
O  0.9887  0.5286  0.6635



# 4
Structure and computed PXRD pattern of Li2MnV4CoO12 (DFT lattice parameters and positions (PBE+U); Cu Ka).

Peak list (6 most intense, 2θ from 10° to 90°, by angle)
- d 4.616, 19.23 deg, I 28
- d 3.782, 23.52 deg, I 28
- d 3.212, 27.78 deg, I 100
- d 3.058, 29.20 deg, I 61
- d 2.700, 33.18 deg, I 50
- d 2.581, 34.76 deg, I 28

Unit cell a=6.9447 b=6.9447 c=5.7617 alpha=105.12 beta=105.12 gamma=83.31
Fractional positions:
Li  0.0000  0.0000  0.0000
Li  0.5081  0.4919  0.5000
Mn  0.6687  0.3313  0.0000
V  0.1463  0.4493  0.0215
V  0.3586  0.0586  0.4813
V  0.5507  0.8537  0.9785
V  0.9414  0.6414  0.5187
Co  0.8402  0.1598  0.5000
O  0.1093  0.1368  0.4095
O  0.1206  0.5967  0.3106
O  0.1212  0.6004  0.8121
O  0.3832  0.3391  0.0750
O  0.3996  0.8788  0.1879
O  0.4033  0.8794  0.6894
O  0.5570  0.2285  0.5991
O  0.6609  0.6168  0.9250
O  0.7323  0.0334  0.0963
O  0.7715  0.4430  0.4009
O  0.8632  0.8907  0.5905
O  0.9666  0.2677  0.9037